For NaLi2BO3, the GGA-PBE geometry in Alexandria gives the simulated powder diffractogram in this record (copper Kα).

Largest 10 diffraction maxima, by intensity, 10 to 90 degrees two-theta:
| 2θ/deg | I/Imax |
| --- | --- |
| 29.1 | 100 |
| 33.5 | 80 |
| 37.2 | 73 |
| 34.9 | 69 |
| 38.2 | 56 |
| 44.0 | 55 |
| 47.1 | 51 |
| 30.9 | 48 |
| 32.3 | 44 |
| 30.0 | 42 |

a = 4.981 Å, b = 12.184 Å, c = 9.689 Å
α = 90.00°, β = 105.47°, γ = 90.00°
Sites, in units of the cell vectors:
Na1 0.026 0.196 0.322
Na2 0.026 0.304 0.822
Na3 0.356 0.622 0.616
Na4 0.356 0.878 0.116
Na5 0.644 0.122 0.884
Na6 0.644 0.378 0.384
Na7 0.974 0.696 0.178
Na8 0.974 0.804 0.678
Li1 0.180 0.147 0.056
Li2 0.180 0.353 0.556
Li3 0.218 0.154 0.642
Li4 0.218 0.346 0.142
Li5 0.242 0.504 0.980
Li6 0.242 0.996 0.480
Li7 0.478 0.602 0.204
Li8 0.478 0.898 0.704
Li9 0.522 0.102 0.296
Li10 0.522 0.398 0.796
Li11 0.758 0.004 0.520
Li12 0.758 0.496 0.020
Li13 0.782 0.654 0.858
Li14 0.782 0.846 0.358
Li15 0.820 0.647 0.444
Li16 0.820 0.853 0.944
B1 0.043 0.023 0.780
B2 0.043 0.477 0.280
B3 0.364 0.712 0.925
B4 0.364 0.788 0.425
B5 0.636 0.212 0.575
B6 0.636 0.288 0.075
B7 0.957 0.523 0.720
B8 0.957 0.977 0.220
O1 0.113 0.742 0.949
O2 0.113 0.758 0.449
O3 0.136 0.508 0.160
O4 0.136 0.992 0.660
O5 0.163 0.115 0.856
O6 0.163 0.385 0.356
O7 0.176 0.034 0.192
O8 0.176 0.466 0.692
O9 0.471 0.735 0.323
O10 0.471 0.765 0.823
O11 0.476 0.127 0.496
O12 0.476 0.373 0.996
O13 0.524 0.627 0.004
O14 0.524 0.873 0.504
O15 0.529 0.235 0.177
O16 0.529 0.265 0.677
O17 0.824 0.534 0.308
O18 0.824 0.966 0.808
O19 0.837 0.615 0.644
O20 0.837 0.885 0.144
O21 0.864 0.008 0.340
O22 0.864 0.492 0.840
O23 0.887 0.242 0.551
O24 0.887 0.258 0.051

For Na2LiB5P2O14, the GGA-PBE geometry in Alexandria gives the simulated powder diffractogram in this record (copper Kα).

Largest 10 diffraction maxima, by intensity, 10 to 90 degrees two-theta:
| 2θ/deg | I/Imax |
| --- | --- |
| 19.1 | 100 |
| 12.4 | 61 |
| 22.8 | 57 |
| 15.0 | 48 |
| 22.5 | 40 |
| 11.8 | 39 |
| 21.4 | 32 |
| 31.2 | 30 |
| 19.9 | 27 |
| 30.3 | 26 |

a = 8.338 Å, b = 9.303 Å, c = 8.462 Å
α = 90.00°, β = 115.81°, γ = 90.00°
Sites, in units of the cell vectors:
Na1 0.103 0.250 0.035
Na2 0.336 0.250 0.459
Na3 0.664 0.750 0.541
Na4 0.897 0.750 0.965
Li1 0.485 0.750 0.784
Li2 0.515 0.250 0.216
B1 0.087 0.750 0.617
B2 0.111 0.250 0.696
B3 0.217 0.750 0.401
B4 0.237 0.750 0.955
B5 0.449 0.250 0.846
B6 0.551 0.750 0.154
B7 0.763 0.250 0.045
B8 0.783 0.250 0.599
B9 0.889 0.750 0.304
B10 0.913 0.250 0.383
P1 0.345 0.558 0.226
P2 0.345 0.942 0.226
P3 0.655 0.058 0.774
P4 0.655 0.442 0.774
O1 0.034 0.750 0.268
O2 0.086 0.250 0.522
O3 0.095 0.750 0.780
O4 0.202 0.619 0.047
O5 0.202 0.881 0.047
O6 0.233 0.750 0.581
O7 0.273 0.250 0.837
O8 0.310 0.618 0.382
O9 0.310 0.882 0.382
O10 0.343 0.103 0.232
O11 0.343 0.397 0.232
O12 0.416 0.750 0.975
O13 0.469 0.119 0.747
O14 0.469 0.381 0.747
O15 0.531 0.619 0.253
O16 0.531 0.881 0.253
O17 0.584 0.250 0.025
O18 0.657 0.603 0.768
O19 0.657 0.897 0.768
O20 0.690 0.118 0.618
O21 0.690 0.382 0.618
O22 0.727 0.750 0.163
O23 0.767 0.250 0.419
O24 0.798 0.119 0.953
O25 0.798 0.381 0.953
O26 0.905 0.250 0.220
O27 0.914 0.750 0.478
O28 0.966 0.250 0.732

For LiNdB12, the GGA-PBE geometry in Alexandria gives the simulated powder diffractogram in this record (copper Kα).

Largest 10 diffraction maxima, by intensity, 10 to 90 degrees two-theta:
| 2θ/deg | I/Imax |
| --- | --- |
| 10.7 | 100 |
| 30.5 | 73 |
| 24.0 | 65 |
| 32.4 | 38 |
| 49.2 | 34 |
| 37.6 | 33 |
| 45.2 | 24 |
| 67.9 | 23 |
| 21.5 | 23 |
| 39.2 | 18 |

a = 4.141 Å, b = 4.141 Å, c = 8.275 Å
α = 90.00°, β = 90.00°, γ = 90.00°
Sites, in units of the cell vectors:
Li1 0.000 0.000 0.000
Nd1 0.000 0.000 0.500
B1 0.201 0.500 0.250
B2 0.201 0.500 0.750
B3 0.500 0.201 0.250
B4 0.500 0.201 0.750
B5 0.500 0.500 0.100
B6 0.500 0.500 0.400
B7 0.500 0.500 0.600
B8 0.500 0.500 0.900
B9 0.500 0.799 0.250
B10 0.500 0.799 0.750
B11 0.799 0.500 0.250
B12 0.799 0.500 0.750

For Li2Ni5B, the GGA-PBE geometry in Alexandria gives the simulated powder diffractogram in this record (copper Kα).

Largest 10 diffraction maxima, by intensity, 10 to 90 degrees two-theta:
| 2θ/deg | I/Imax |
| --- | --- |
| 47.2 | 100 |
| 46.8 | 94 |
| 36.9 | 75 |
| 50.2 | 58 |
| 32.5 | 56 |
| 48.7 | 53 |
| 45.6 | 44 |
| 35.2 | 42 |
| 27.2 | 31 |
| 31.5 | 30 |

a = 4.752 Å, b = 9.079 Å, c = 3.636 Å
α = 90.00°, β = 90.00°, γ = 90.00°
Sites, in units of the cell vectors:
Li1 0.152 0.141 0.000
Li2 0.348 0.641 0.000
Li3 0.652 0.359 0.000
Li4 0.848 0.859 0.000
Ni1 0.000 0.000 0.500
Ni2 0.099 0.724 0.500
Ni3 0.166 0.400 0.000
Ni4 0.334 0.900 0.000
Ni5 0.401 0.224 0.500
Ni6 0.500 0.500 0.500
Ni7 0.599 0.776 0.500
Ni8 0.666 0.100 0.000
Ni9 0.834 0.600 0.000
Ni10 0.901 0.276 0.500
B1 0.000 0.500 0.500
B2 0.500 0.000 0.500

For LiNi10B3, the GGA-PBE geometry in Alexandria gives the simulated powder diffractogram in this record (copper Kα).

Largest 10 diffraction maxima, by intensity, 10 to 90 degrees two-theta:
| 2θ/deg | I/Imax |
| --- | --- |
| 45.2 | 100 |
| 51.9 | 45 |
| 24.2 | 24 |
| 34.4 | 24 |
| 52.7 | 21 |
| 38.6 | 20 |
| 77.7 | 15 |
| 82.8 | 13 |
| 84.7 | 13 |
| 79.7 | 11 |

a = 7.370 Å, b = 7.370 Å, c = 7.370 Å
α = 60.00°, β = 60.00°, γ = 60.00°
Sites, in units of the cell vectors:
Li1 0.250 0.250 0.250
Li2 0.750 0.750 0.750
Ni1 0.000 0.000 0.335
Ni2 0.000 0.000 0.665
Ni3 0.000 0.335 0.000
Ni4 0.000 0.335 0.665
Ni5 0.000 0.665 0.000
Ni6 0.000 0.665 0.335
Ni7 0.148 0.617 0.617
Ni8 0.335 0.000 0.000
Ni9 0.335 0.000 0.665
Ni10 0.335 0.665 0.000
Ni11 0.383 0.383 0.383
Ni12 0.383 0.383 0.852
Ni13 0.383 0.852 0.383
Ni14 0.617 0.148 0.617
Ni15 0.617 0.617 0.148
Ni16 0.617 0.617 0.617
Ni17 0.665 0.000 0.000
Ni18 0.665 0.000 0.335
Ni19 0.665 0.335 0.000
Ni20 0.852 0.383 0.383
B1 0.274 0.274 0.726
B2 0.274 0.726 0.274
B3 0.274 0.726 0.726
B4 0.726 0.274 0.274
B5 0.726 0.274 0.726
B6 0.726 0.726 0.274

For LiNi3B, the GGA-PBE geometry in Alexandria gives the simulated powder diffractogram in this record (copper Kα).

Largest 10 diffraction maxima, by intensity, 10 to 90 degrees two-theta:
| 2θ/deg | I/Imax |
| --- | --- |
| 41.9 | 100 |
| 56.1 | 75 |
| 20.6 | 71 |
| 35.5 | 44 |
| 41.4 | 23 |
| 87.3 | 17 |
| 90.0 | 17 |
| 76.5 | 16 |
| 51.5 | 16 |
| 36.1 | 11 |

a = 4.982 Å, b = 4.982 Å, c = 5.054 Å
α = 90.00°, β = 90.00°, γ = 120.00°
Sites, in units of the cell vectors:
Li1 0.000 0.000 0.000
Li2 0.000 0.000 0.500
Ni1 0.000 0.500 0.235
Ni2 0.000 0.500 0.765
Ni3 0.500 0.000 0.235
Ni4 0.500 0.000 0.765
Ni5 0.500 0.500 0.235
Ni6 0.500 0.500 0.765
B1 0.333 0.667 0.500
B2 0.667 0.333 0.500

Q: What is the formula in the fifth record?
A: LiNi10B3